[1]
Calculated powder X-ray diffraction pattern
Compound: Mg14NbCdO16
Radiation: Cu Kα (λ = 1.5418 Å)
Structure: a PBE-relaxed structure
Intensities are scaled so that the largest is 100.

The 10 most intense peaks (10 to 90 degrees two-theta), in order of falling intensity:
2θ (°)	I/Imax	h k l
41.2	100	0 0 4
41.5	96	0 4 0
41.9	95	2 0 0
10.2	89	0 1 0
35.8	83	1 2 2
60.2	57	2 0 4
59.9	57	0 4 4
60.5	55	2 4 0
75.8	52	2 4 4
30.8	47	0 3 0

Atomic structure:
```
data_Mg14NbCdO16
_chemical_formula_sum 'Mg14 Nb1 Cd1 O16'
_cell_length_a 4.314
_cell_length_b 8.696
_cell_length_c 8.768
_cell_angle_alpha 90.00
_cell_angle_beta 90.00
_cell_angle_gamma 90.00
_space_group_name_H-M_alt 'P m m m'
_space_group_IT_number 47
loop_
_space_group_symop_operation_xyz
'x,y,z'
'-x,-y,-z'
'-x,-y,z'
'x,y,-z'
'x,-y,-z'
'-x,y,z'
'-x,y,-z'
'x,-y,z'
loop_
_atom_site_label
_atom_site_fract_x
_atom_site_fract_y
_atom_site_fract_z
_atom_site_occupancy
Mg1 0.000 0.000 0.000 1
Mg2 0.000 0.000 0.500 1
Mg3 0.000 0.245 0.249 1
Mg4 0.500 0.000 0.250 1
Mg5 0.500 0.244 0.000 1
Mg6 0.500 0.244 0.500 1
Mg7 0.500 0.500 0.247 1
Nb1 0.000 0.500 0.500 1
Cd1 0.000 0.500 0.000 1
O1 0.000 0.000 0.252 1
O2 0.000 0.232 0.000 1
O3 0.000 0.238 0.500 1
O4 0.000 0.500 0.255 1
O5 0.500 0.000 0.000 1
O6 0.500 0.000 0.500 1
O7 0.500 0.251 0.250 1
O8 0.500 0.500 0.000 1
O9 0.500 0.500 0.500 1
```


[2]
Calculated powder X-ray diffraction pattern
Compound: TcCl4
Radiation: Cu Kα (λ = 1.5418 Å)
Structure: a PBE-relaxed structure
Intensities are scaled so that the largest is 100.

The 10 most intense peaks (10 to 90 degrees two-theta), in order of falling intensity:
2θ (°)	I/Imax	h k l
14.6	100	0 2 1
11.5	48	0 0 2
34.2	21	1 3 4
19.6	20	1 1 2
30.5	16	1 2 4
32.1	14	2 2 0
18.4	13	1 0 2
23.5	13	1 1 3
50.4	10	3 0 4
38.7	10	1 4 4

Atomic structure:
```
data_TcCl4
_chemical_formula_sum 'Tc8 Cl32'
_cell_length_a 6.152
_cell_length_b 13.214
_cell_length_c 15.441
_cell_angle_alpha 90.00
_cell_angle_beta 90.00
_cell_angle_gamma 90.00
_space_group_name_H-M_alt 'P b c a'
_space_group_IT_number 61
loop_
_space_group_symop_operation_xyz
'x,y,z'
'-x,-y,-z'
'-x+1/2,-y,z+1/2'
'x+1/2,y,-z+1/2'
'x+1/2,-y+1/2,-z'
'-x+1/2,y+1/2,z'
'-x,y+1/2,-z+1/2'
'x,-y+1/2,z+1/2'
loop_
_atom_site_label
_atom_site_fract_x
_atom_site_fract_y
_atom_site_fract_z
_atom_site_occupancy
Tc1 0.103 0.128 0.184 1
Cl1 0.035 0.736 0.415 1
Cl2 0.073 0.729 0.197 1
Cl3 0.221 0.528 0.303 1
Cl4 0.243 0.020 0.085 1
```


[3]
Calculated powder X-ray diffraction pattern
Compound: LuBO3
Radiation: Cu Kα (λ = 1.5418 Å)
Structure: a PBE-relaxed structure
Intensities are scaled so that the largest is 100.

The 10 most intense peaks (10 to 90 degrees two-theta), in order of falling intensity:
2θ (°)	I/Imax	h k l
33.4	100	2 1 1
25.6	99	0 1 1
21.0	72	2 0 0
27.1	46	0 2 0
50.6	42	4 1 1
34.6	40	2 2 0
47.0	33	0 3 1
52.0	31	2 3 1
57.3	24	2 2 2
51.5	22	4 2 0

Atomic structure:
```
data_LuBO3
_chemical_formula_sum 'Lu4 B4 O12'
_cell_length_a 8.442
_cell_length_b 6.575
_cell_length_c 4.095
_cell_angle_alpha 90.00
_cell_angle_beta 90.00
_cell_angle_gamma 90.00
_space_group_name_H-M_alt 'A m a 2'
_space_group_IT_number 40
loop_
_space_group_symop_operation_xyz
'x,y,z'
'-x,-y,z'
'-x+1/2,y,z'
'x+1/2,-y,z'
'x,y+1/2,z+1/2'
'-x,-y+1/2,z+1/2'
'-x+1/2,y+1/2,z+1/2'
'x+1/2,-y+1/2,z+1/2'
loop_
_atom_site_label
_atom_site_fract_x
_atom_site_fract_y
_atom_site_fract_z
_atom_site_occupancy
Lu1 0.000 0.000 0.000 1
B1 0.250 0.130 0.430 1
O1 0.100 0.172 0.559 1
O2 0.250 0.039 0.129 1
```